Starting from a structure optimized by DFT (PBE+U), the X-ray diffraction stick pattern of Li2MnF6 was simulated for CuKα.
Neutral-atom scattering factors, no anomalous dispersion.

The 10 most intense peaks (10° ≤ 2θ ≤ 80°), by angle:
d 4.404, I 35.1
d 4.376, I 100.0
d 3.114, I 49.7
d 3.076, I 15.5
d 1.968, I 44.4
d 1.948, I 21.8
d 1.659, I 6.1
d 1.557, I 9.2
d 1.468, I 9.1
d 1.459, I 13.3

Crystal structure
Unit cell a=5.372 b=5.372 c=5.372 alpha=109.14 beta=109.14 gamma=110.14
Positions (direct):
Li  0.250  0.750  0.500
Li  0.750  0.250  0.500
Mn  0.000  0.000  0.000
F  0.000  0.299  0.299
F  0.000  0.701  0.701
F  0.293  0.293  0.000
F  0.299  0.000  0.299
F  0.701  0.000  0.701
F  0.707  0.707  0.000